1.
Structure and computed PXRD pattern of MgZn6 (a PBE-relaxed structure; Cu Kα (weighted mean of Kα1 and Kα2)).
Lines closer than 0.1° are merged.

Principal peaks in the range 10 to 90 degrees two-theta, in order of rising 2θ:
Position (°2θ)  I/Imax
22.85  22
32.54  18
40.14  100
46.68  48
52.59  9
58.06  6
68.16  29
72.93  4
82.15  33
86.67  10

```
data_MgZn6
_chemical_formula_sum 'Mg4 Zn24'
_space_group_name_H-M_alt 'F m -3 m'
_space_group_IT_number 225
_space_group_name_Hall '-F 4 2 3'
_cell_length_a 7.783
_cell_length_b 7.783
_cell_length_c 7.783
_cell_angle_alpha 90.00
_cell_angle_beta 90.00
_cell_angle_gamma 90.00
loop_
_atom_site_label
_atom_site_fract_x
_atom_site_fract_y
_atom_site_fract_z
Mg1 0.000 0.000 0.000
Zn1 0.000 0.250 0.250
```


2.
Structure and computed PXRD pattern of BaZn2PtAu (a PBE-relaxed structure; Cu Kα (weighted mean of Kα1 and Kα2)).
Lines closer than 0.1° are merged.

Principal peaks in the range 10 to 90 degrees two-theta, in order of rising 2θ:
Position (°2θ)  I/Imax
21.38  30
28.26  54
31.00  100
32.45  41
40.40  66
42.87  40
44.82  37
51.77  48
58.46  22
61.91  29

```
data_BaZn2PtAu
_chemical_formula_sum 'Ba2 Zn4 Pt2 Au2'
_space_group_name_H-M_alt 'I 4 m m'
_space_group_IT_number 107
_space_group_name_Hall 'I 4 -2'
_cell_length_a 4.466
_cell_length_b 4.466
_cell_length_c 11.340
_cell_angle_alpha 90.00
_cell_angle_beta 90.00
_cell_angle_gamma 90.00
loop_
_atom_site_label
_atom_site_fract_x
_atom_site_fract_y
_atom_site_fract_z
Ba1 0.000 0.000 0.000
Zn1 0.000 0.500 0.242
Pt1 0.000 0.000 0.627
Au1 0.000 0.000 0.377
```


3.
Structure and computed PXRD pattern of Na4SbIrO6 (a PBE-relaxed structure; Cu Kα (weighted mean of Kα1 and Kα2)).
Lines closer than 0.1° are merged.

Principal peaks in the range 10 to 90 degrees two-theta, in order of rising 2θ:
Position (°2θ)  I/Imax
16.76  98
18.75  21
19.57  37
21.83  29
33.25  44
33.91  30
34.70  59
40.05  100
57.38  31
58.47  30

```
data_Na4SbIrO6
_chemical_formula_sum 'Na8 Sb2 Ir2 O12'
_space_group_name_H-M_alt 'C 1 2 1'
_space_group_IT_number 5
_cell_length_a 5.472
_cell_length_b 9.464
_cell_length_c 5.600
_cell_angle_alpha 90.00
_cell_angle_beta 109.13
_cell_angle_gamma 90.00
loop_
_space_group_symop_operation_xyz
'x,y,z'
'-x,y,-z'
'x+1/2,y+1/2,z'
'-x+1/2,y+1/2,-z'
loop_
_atom_site_label
_atom_site_fract_x
_atom_site_fract_y
_atom_site_fract_z
Na1 0.000 0.000 0.000
Na2 0.000 0.156 0.500
Na3 0.000 0.510 0.500
Na4 0.000 0.840 0.500
Sb1 0.000 0.333 0.000
Ir1 0.000 0.668 0.000
O1 0.210 0.497 0.212
O2 0.241 0.321 0.787
O3 0.247 0.184 0.212
```